Starting from a cell relaxed with GGA-PBE, the X-ray powder pattern of V9Ga4Fe3 was calculated for Cu Kα (weighted mean of Kα1 and Kα2).
Kinematic intensities with the Lorentz-polarization factor, no thermal factor.

Crystal structure
a b c (Å): 4.6888 4.6678 9.4102
angles (deg): 90.00 90.28 90.00
Fractional coordinates of all 16 atoms:
V  0.0000  0.0000  0.0000
V  0.0013  0.0000  0.5040
V  0.2541  0.5000  0.1241
V  0.5028  0.2502  0.8748
V  0.5028  0.7498  0.8748
V  0.5102  0.2500  0.3781
V  0.5102  0.7500  0.3781
V  0.7522  0.5000  0.1245
V  0.7630  0.5000  0.6228
Ga  0.0054  0.5000  0.8708
Ga  0.0098  0.5000  0.3753
Ga  0.4988  0.0000  0.6272
Ga  0.5024  0.0000  0.1269
Fe  0.0025  0.0000  0.2522
Fe  0.0039  0.0000  0.7498
Fe  0.2587  0.5000  0.6228

Peak list (10 most intense, 5° ≤ 2θ ≤ 70°, in order of falling intensity)
2theta  Rel. int.
47.6  100.0
43.2  75.8
47.4  69.0
43.1  47.4
38.6  33.7
47.7  32.0
38.4  31.8
43.0  30.5
43.3  30.4
38.3  29.8

***

Starting from a cell relaxed with GGA-PBE, the X-ray powder pattern of CePmHo2Er was calculated for Cu Kα (weighted mean of Kα1 and Kα2).
Kinematic intensities with the Lorentz-polarization factor, no thermal factor.

Crystal structure
a b c (Å): 5.8447 7.7482 7.1663
angles (deg): 90.00 90.00 90.00
Fractional coordinates of all 10 atoms:
Ce  0.0000  0.0000  0.0000
Ce  0.5000  0.0000  0.0000
Pm  0.2500  0.5000  0.1632
Pm  0.7500  0.5000  0.8368
Ho  0.2500  0.2916  0.6786
Ho  0.2500  0.7084  0.6786
Ho  0.7500  0.2916  0.3214
Ho  0.7500  0.7084  0.3214
Er  0.2500  0.0000  0.3882
Er  0.7500  0.0000  0.6118

Peak list (10 most intense, 5° ≤ 2θ ≤ 70°, in order of falling intensity)
2theta  Rel. int.
30.4  100.0
31.5  49.6
35.1  26.8
30.6  25.7
27.4  22.6
48.7  22.2
54.2  19.7
33.1  18.4
55.0  18.1
52.2  16.5

***

Starting from a cell relaxed with GGA-PBE, the X-ray powder pattern of Pm4Sm3Tm was calculated for Cu Kα (weighted mean of Kα1 and Kα2).
Kinematic intensities with the Lorentz-polarization factor, no thermal factor.

Crystal structure
a b c (Å): 11.6540 7.3446 6.3460
angles (deg): 90.00 90.00 90.00
Fractional coordinates of all 16 atoms:
Pm  0.0000  0.1253  0.0000
Pm  0.0000  0.8743  0.5052
Pm  0.2472  0.1268  0.3359
Pm  0.2528  0.8732  0.8359
Pm  0.5000  0.1257  0.0052
Pm  0.5000  0.8747  0.5000
Pm  0.7472  0.8732  0.8359
Pm  0.7528  0.1268  0.3359
Sm  0.0000  0.6248  0.0024
Sm  0.2501  0.3765  0.8348
Sm  0.2499  0.6235  0.3348
Sm  0.5000  0.3752  0.5024
Sm  0.7499  0.3765  0.8348
Sm  0.7501  0.6235  0.3348
Tm  0.0000  0.3768  0.5013
Tm  0.5000  0.6232  0.0013

Peak list (10 most intense, 5° ≤ 2θ ≤ 70°, in order of falling intensity)
2theta  Rel. int.
32.1  100.0
30.7  25.0
28.1  23.6
59.6  22.8
55.4  21.2
42.1  15.9
49.7  13.1
60.4  11.0
49.7  6.6
60.5  5.4

***

Starting from a cell relaxed with GGA-PBE, the X-ray powder pattern of La2NiC4 was calculated for Cu Kα (weighted mean of Kα1 and Kα2).
Kinematic intensities with the Lorentz-polarization factor, no thermal factor.

Crystal structure
a b c (Å): 7.0517 7.0517 7.0517
angles (deg): 115.95 81.37 135.44
Fractional coordinates of all 14 atoms:
La  0.1426  0.1790  0.3216
La  0.3574  0.6790  0.0363
La  0.6426  0.3210  0.9637
La  0.8574  0.8210  0.6784
Ni  0.2500  0.7500  0.5000
Ni  0.7500  0.2500  0.5000
C  0.0820  0.6669  0.7489
C  0.1192  0.8375  0.9567
C  0.3808  0.3375  0.7184
C  0.4180  0.1669  0.5848
C  0.5820  0.8331  0.4152
C  0.6192  0.6625  0.2816
C  0.8808  0.1625  0.0433
C  0.9180  0.3331  0.2511

Peak list (10 most intense, 5° ≤ 2θ ≤ 70°, in order of falling intensity)
2theta  Rel. int.
26.4  100.0
30.3  44.8
41.5  43.3
33.5  35.5
27.7  34.9
56.7  28.3
48.1  26.9
37.0  26.1
55.7  23.9
36.7  19.5

***

Starting from a cell relaxed with GGA-PBE, the X-ray powder pattern of Nd4Br3N2 was calculated for Cu Kα (weighted mean of Kα1 and Kα2).
Kinematic intensities with the Lorentz-polarization factor, no thermal factor.

Crystal structure
a b c (Å): 7.5908 7.5908 8.7390
angles (deg): 103.02 103.02 27.30
Fractional coordinates of all 9 atoms:
Nd  0.0948  0.0948  0.2153
Nd  0.3163  0.3163  0.3999
Nd  0.6837  0.6837  0.6001
Nd  0.9052  0.9052  0.7847
Br  0.0000  0.0000  0.5000
Br  0.4056  0.4056  0.0953
Br  0.5944  0.5944  0.9047
N  0.3013  0.3013  0.6828
N  0.6987  0.6987  0.3172

Peak list (10 most intense, 5° ≤ 2θ ≤ 70°, in order of falling intensity)
2theta  Rel. int.
31.1  100.0
34.4  66.1
35.2  50.3
28.3  42.3
14.2  36.8
29.2  30.1
62.3  28.3
27.2  27.1
36.6  26.9
42.1  25.9

***

What did the second record say?
Starting from a cell relaxed with GGA-PBE, the X-ray powder pattern of CePmHo2Er was calculated for Cu Kα (weighted mean of Kα1 and Kα2).
Kinematic intensities with the Lorentz-polarization factor, no thermal factor.

Crystal structure
a b c (Å): 5.8447 7.7482 7.1663
angles (deg): 90.00 90.00 90.00
Fractional coordinates of all 10 atoms:
Ce  0.0000  0.0000  0.0000
Ce  0.5000  0.0000  0.0000
Pm  0.2500  0.5000  0.1632
Pm  0.7500  0.5000  0.8368
Ho  0.2500  0.2916  0.6786
Ho  0.2500  0.7084  0.6786
Ho  0.7500  0.2916  0.3214
Ho  0.7500  0.7084  0.3214
Er  0.2500  0.0000  0.3882
Er  0.7500  0.0000  0.6118

Peak list (10 most intense, 5° ≤ 2θ ≤ 70°, in order of falling intensity)
2theta  Rel. int.
30.4  100.0
31.5  49.6
35.1  26.8
30.6  25.7
27.4  22.6
48.7  22.2
54.2  19.7
33.1  18.4
55.0  18.1
52.2  16.5

***

Copy entry 1 word for word.
Starting from a cell relaxed with GGA-PBE, the X-ray powder pattern of V9Ga4Fe3 was calculated for Cu Kα (weighted mean of Kα1 and Kα2).
Kinematic intensities with the Lorentz-polarization factor, no thermal factor.

Crystal structure
a b c (Å): 4.6888 4.6678 9.4102
angles (deg): 90.00 90.28 90.00
Fractional coordinates of all 16 atoms:
V  0.0000  0.0000  0.0000
V  0.0013  0.0000  0.5040
V  0.2541  0.5000  0.1241
V  0.5028  0.2502  0.8748
V  0.5028  0.7498  0.8748
V  0.5102  0.2500  0.3781
V  0.5102  0.7500  0.3781
V  0.7522  0.5000  0.1245
V  0.7630  0.5000  0.6228
Ga  0.0054  0.5000  0.8708
Ga  0.0098  0.5000  0.3753
Ga  0.4988  0.0000  0.6272
Ga  0.5024  0.0000  0.1269
Fe  0.0025  0.0000  0.2522
Fe  0.0039  0.0000  0.7498
Fe  0.2587  0.5000  0.6228

Peak list (10 most intense, 5° ≤ 2θ ≤ 70°, in order of falling intensity)
2theta  Rel. int.
47.6  100.0
43.2  75.8
47.4  69.0
43.1  47.4
38.6  33.7
47.7  32.0
38.4  31.8
43.0  30.5
43.3  30.4
38.3  29.8